1.
Starting from a PBE-relaxed structure, the powder diffraction line list of CoTe2Pd2 was simulated for λ = 1.5418 Å (Cu Kα).

Structure:
Lattice parameters (Å, degrees): 6.3300 11.2093 5.2541 90.00 90.00 90.00
Space group Ibam (No. 72)
Unique sites:
Co  0.0000  0.0000  0.2500 [4 per cell]
Te  0.2149  0.1439  0.0000 [8 per cell]
Pd  0.1325  0.3941  0.0000 [8 per cell]

Most intense lines, 10 to 90 degrees two-theta, by intensity:
index	2θ/deg	Rel. int.
2 1 1	34.0	100.0
0 4 2	47.4	93.1
0 0 2	34.1	85.6
0 4 0	31.9	77.6
3 2 1	49.3	74.2
2 3 1	41.1	72.6



2.
Starting from a PBE-relaxed structure, the powder diffraction line list of BaGaGe was simulated for λ = 1.5418 Å (Cu Kα).

Structure:
Lattice parameters (Å, degrees): 4.4069 4.4069 5.1044 90.00 90.00 120.00
Space group P-6m2 (No. 187)
Unique sites:
Ba  0.0000  0.0000  0.0000 [1 per cell]
Ga  0.3333  0.6667  0.5000 [1 per cell]
Ge  0.6667  0.3333  0.5000 [1 per cell]

Most intense lines, 10 to 90 degrees two-theta, by intensity:
index	2θ/deg	Rel. int.
1 0 1	29.2	100.0
1 1 0	41.0	36.8
1 1 2	55.1	30.5
2 0 1	51.1	20.7
0 0 2	35.2	18.8
2 1 1	67.5	17.9



3.
Starting from a PBE-relaxed structure, the powder diffraction line list of CeSe2 was simulated for λ = 1.5418 Å (Cu Kα).

Structure:
Lattice parameters (Å, degrees): 4.1026 4.1026 12.8851 90.00 90.00 120.00
Space group P6_3/mmc (No. 194)
Unique sites:
Ce  0.0000  0.0000  0.2500 [2 per cell]
Se  0.3333  0.6667  0.1192 [4 per cell]

Most intense lines, 10 to 90 degrees two-theta, by intensity:
index	2θ/deg	Rel. int.
1 0 4	37.7	100.0
1 0 2	28.7	91.9
0 0 2	13.7	67.5
1 1 0	44.2	59.6
1 0 1	26.0	50.3
1 0 3	32.7	36.0



4.
Starting from a PBE-relaxed structure, the powder diffraction line list of InPbCl3 was simulated for λ = 1.5418 Å (Cu Kα).

Structure:
Lattice parameters (Å, degrees): 8.2259 8.0638 5.7570 90.00 90.23 90.00
Space group Cm (No. 8)
Unique sites:
In  0.0000  0.0000  0.0000 [2 per cell]
Pb  0.1031  0.5000  0.4189 [2 per cell]
Cl  0.1438  0.5000  0.9209 [2 per cell]
Cl  0.3823  0.2769  0.3742 [4 per cell]

Most intense lines, 10 to 90 degrees two-theta, by intensity:
index	2θ/deg	Rel. int.
1 1 1	21.8	100.0
1 1 0	15.4	69.4
0 0 2	31.1	57.0
2 2 -1	34.8	48.1
0 2 0	22.0	29.8
1 3 1	38.6	27.9